Starting from the PBE geometry in OQMD, the XRD peak list of DyZnInSe3 was calculated for Cu Kα, 1.54184 Å.
Kinematic intensities with the Lorentz-polarization factor, no thermal factor.

Atomic structure:
a b c (Å): 10.215 4.142 15.526
angles (deg): 90.00 90.00 90.00
Atoms (fractional coordinates):
Dy (0.173, 0.250, 0.053)
Dy (0.327, 0.750, 0.553)
Dy (0.673, 0.250, 0.447)
Dy (0.827, 0.750, 0.947)
Zn (0.175, 0.750, 0.863)
Zn (0.325, 0.250, 0.363)
Zn (0.675, 0.750, 0.637)
Zn (0.825, 0.250, 0.137)
In (0.015, 0.750, 0.318)
In (0.485, 0.250, 0.818)
In (0.515, 0.750, 0.182)
In (0.985, 0.250, 0.682)
Se (0.018, 0.250, 0.893)
Se (0.172, 0.250, 0.483)
Se (0.204, 0.750, 0.711)
Se (0.296, 0.250, 0.211)
Se (0.328, 0.750, 0.983)
Se (0.482, 0.750, 0.393)
Se (0.518, 0.250, 0.607)
Se (0.672, 0.250, 0.017)
Se (0.704, 0.750, 0.789)
Se (0.796, 0.250, 0.289)
Se (0.828, 0.750, 0.517)
Se (0.982, 0.750, 0.107)

Peak list (10 most intense, 2θ = 10–80°, sorted by position)
2θ (°), I (rel.)
10.37, 24
20.82, 15
28.33, 100
30.07, 91
35.80, 16
36.12, 27
41.47, 40
43.22, 20
43.71, 32
47.34, 25

***

Starting from the PBE geometry in OQMD, the XRD peak list of TbLu2In3AgPt2 was calculated for Cu Kα, 1.54184 Å.
Kinematic intensities with the Lorentz-polarization factor, no thermal factor.

Atomic structure:
a b c (Å): 3.728 7.806 7.806
angles (deg): 120.30 90.00 90.00
Atoms (fractional coordinates):
Tb (0.000, 0.000, 0.000)
Lu (0.000, 0.409, 0.818)
Lu (0.000, 0.818, 0.409)
In (0.500, 0.139, 0.410)
In (0.500, 0.410, 0.139)
In (0.500, 0.677, 0.677)
Ag (0.000, 0.410, 0.410)
Pt (0.500, 0.077, 0.738)
Pt (0.500, 0.738, 0.077)

Peak list (10 most intense, 2θ = 10–80°, sorted by position)
2θ (°), I (rel.)
33.26, 100
35.13, 28
35.28, 13
35.90, 91
39.95, 18
40.14, 36
42.91, 17
48.85, 27
61.59, 11
65.06, 29

***

Starting from the PBE geometry in OQMD, the XRD peak list of BaPmSn was calculated for Cu Kα, 1.54184 Å.
Kinematic intensities with the Lorentz-polarization factor, no thermal factor.

Atomic structure:
a b c (Å): 7.671 7.671 7.671
angles (deg): 90.00 90.00 90.00
Atoms (fractional coordinates):
Ba (0.000, 0.000, 0.000)
Ba (0.000, 0.500, 0.500)
Ba (0.500, 0.000, 0.500)
Ba (0.500, 0.500, 0.000)
Pm (0.250, 0.250, 0.250)
Pm (0.250, 0.750, 0.750)
Pm (0.750, 0.250, 0.750)
Pm (0.750, 0.750, 0.250)
Sn (0.000, 0.000, 0.500)
Sn (0.000, 0.500, 0.000)
Sn (0.500, 0.000, 0.000)
Sn (0.500, 0.500, 0.500)

Peak list (10 most intense, 2θ = 10–80°, sorted by position)
2θ (°), I (rel.)
20.05, 32
23.19, 9
33.03, 100
38.94, 17
47.40, 18
51.96, 8
58.99, 38
62.96, 6
69.29, 12
78.92, 17

***

Starting from the PBE geometry in OQMD, the XRD peak list of HfZrTe4 was calculated for Cu Kα, 1.54184 Å.
Kinematic intensities with the Lorentz-polarization factor, no thermal factor.

Atomic structure:
a b c (Å): 8.591 8.591 11.670
angles (deg): 90.00 90.00 154.35
Atoms (fractional coordinates):
Hf (0.232, 0.768, 0.500)
Hf (0.768, 0.232, 0.000)
Zr (0.374, 0.626, 0.267)
Zr (0.626, 0.374, 0.767)
Te (0.000, 0.000, 0.233)
Te (0.000, 0.000, 0.733)
Te (0.136, 0.864, 0.975)
Te (0.266, 0.734, 0.733)
Te (0.393, 0.607, 0.006)
Te (0.607, 0.393, 0.506)
Te (0.734, 0.266, 0.233)
Te (0.864, 0.136, 0.475)

Peak list (10 most intense, 2θ = 10–80°, sorted by position)
2θ (°), I (rel.)
10.56, 43
18.53, 26
29.37, 100
30.64, 75
32.30, 55
36.52, 40
36.71, 50
42.79, 27
47.70, 39
57.75, 27

***

Starting from the PBE geometry in OQMD, the XRD peak list of SnAu15 was calculated for Cu Kα, 1.54184 Å.
Kinematic intensities with the Lorentz-polarization factor, no thermal factor.

Atomic structure:
a b c (Å): 8.257 2.934 37.163
angles (deg): 90.00 90.02 90.00
Atoms (fractional coordinates):
Sn (0.125, 0.250, 0.198)
Sn (0.875, 0.750, 0.802)
Au (0.121, 0.250, 0.760)
Au (0.122, 0.250, 0.678)
Au (0.124, 0.250, 0.598)
Au (0.125, 0.250, 0.281)
Au (0.125, 0.250, 0.361)
Au (0.125, 0.250, 0.441)
Au (0.125, 0.250, 0.519)
Au (0.372, 0.750, 0.240)
Au (0.373, 0.750, 0.322)
Au (0.375, 0.750, 0.401)
Au (0.375, 0.750, 0.480)
Au (0.375, 0.750, 0.559)
Au (0.375, 0.750, 0.637)
Au (0.375, 0.750, 0.716)
Au (0.375, 0.750, 0.794)
Au (0.625, 0.250, 0.206)
Au (0.625, 0.250, 0.284)
Au (0.625, 0.250, 0.363)
Au (0.625, 0.250, 0.441)
Au (0.625, 0.250, 0.520)
Au (0.625, 0.250, 0.599)
Au (0.627, 0.250, 0.678)
Au (0.628, 0.250, 0.760)
Au (0.875, 0.750, 0.481)
Au (0.875, 0.750, 0.559)
Au (0.875, 0.750, 0.639)
Au (0.875, 0.750, 0.719)
Au (0.876, 0.750, 0.402)
Au (0.878, 0.750, 0.322)
Au (0.879, 0.750, 0.240)

Peak list (10 most intense, 2θ = 10–80°, sorted by position)
2θ (°), I (rel.)
36.26, 46
37.64, 100
38.30, 53
42.44, 30
43.88, 33
44.24, 36
62.68, 19
64.06, 24
75.28, 28
76.57, 14

***

Starting from the PBE geometry in OQMD, the XRD peak list of GdY2Mg3CuPd2 was calculated for Cu Kα, 1.54184 Å.
Kinematic intensities with the Lorentz-polarization factor, no thermal factor.

Atomic structure:
a b c (Å): 4.031 7.468 7.468
angles (deg): 119.90 90.00 90.00
Atoms (fractional coordinates):
Gd (0.000, 0.000, 0.000)
Y (0.000, 0.413, 0.824)
Y (0.000, 0.824, 0.413)
Mg (0.500, 0.169, 0.413)
Mg (0.500, 0.413, 0.169)
Mg (0.500, 0.656, 0.656)
Cu (0.000, 0.413, 0.413)
Pd (0.500, 0.079, 0.746)
Pd (0.500, 0.746, 0.079)

Peak list (10 most intense, 2θ = 10–80°, sorted by position)
2θ (°), I (rel.)
13.68, 33
23.81, 35
32.68, 100
35.58, 98
36.75, 29
41.89, 34
43.27, 27
44.98, 23
56.10, 21
63.14, 20

***

Starting from the PBE geometry in OQMD, the XRD peak list of SrGaPt2 was calculated for Cu Kα, 1.54184 Å.
Kinematic intensities with the Lorentz-polarization factor, no thermal factor.

Atomic structure:
a b c (Å): 4.386 4.386 5.570
angles (deg): 90.00 90.00 120.00
Atoms (fractional coordinates):
Sr (0.000, 0.000, 0.000)
Ga (0.333, 0.667, 0.500)
Pt (0.667, 0.333, 0.269)
Pt (0.667, 0.333, 0.731)

Peak list (10 most intense, 2θ = 10–80°, sorted by position)
2θ (°), I (rel.)
23.42, 89
28.44, 28
40.15, 100
41.17, 67
47.90, 14
53.16, 10
58.86, 33
64.96, 11
74.34, 33
75.02, 12

***

Starting from the PBE geometry in OQMD, the XRD peak list of Np2Fe2C3 was calculated for Cu Kα, 1.54184 Å.
Kinematic intensities with the Lorentz-polarization factor, no thermal factor.

Atomic structure:
a b c (Å): 9.838 3.365 5.904
angles (deg): 90.00 121.00 90.00
Atoms (fractional coordinates):
Np (0.064, 0.000, 0.348)
Np (0.436, 0.500, 0.652)
Np (0.564, 0.500, 0.348)
Np (0.936, 0.000, 0.652)
Fe (0.204, 0.500, 0.089)
Fe (0.296, 0.000, 0.911)
Fe (0.704, 0.000, 0.089)
Fe (0.796, 0.500, 0.911)
C (0.000, 0.500, 0.000)
C (0.198, 0.500, 0.745)
C (0.302, 0.000, 0.255)
C (0.500, 0.000, 0.000)
C (0.698, 0.000, 0.745)
C (0.802, 0.500, 0.255)

Peak list (10 most intense, 2θ = 10–80°, sorted by position)
2θ (°), I (rel.)
21.07, 34
28.56, 100
30.43, 44
33.97, 70
36.57, 58
36.78, 30
38.35, 41
39.06, 40
41.41, 51
43.03, 35

***

Starting from the PBE geometry in OQMD, the XRD peak list of NaZrTe3Pd was calculated for Cu Kα, 1.54184 Å.
Kinematic intensities with the Lorentz-polarization factor, no thermal factor.

Atomic structure:
a b c (Å): 14.503 4.004 11.146
angles (deg): 90.00 90.00 90.00
Atoms (fractional coordinates):
Na (0.226, 0.250, 0.058)
Na (0.274, 0.750, 0.558)
Na (0.726, 0.250, 0.442)
Na (0.774, 0.750, 0.942)
Zr (0.017, 0.250, 0.313)
Zr (0.483, 0.750, 0.813)
Zr (0.517, 0.250, 0.187)
Zr (0.983, 0.750, 0.687)
Te (0.101, 0.250, 0.563)
Te (0.110, 0.750, 0.883)
Te (0.156, 0.750, 0.265)
Te (0.344, 0.250, 0.765)
Te (0.390, 0.250, 0.383)
Te (0.399, 0.750, 0.063)
Te (0.601, 0.250, 0.937)
Te (0.610, 0.750, 0.617)
Te (0.656, 0.750, 0.235)
Te (0.844, 0.250, 0.735)
Te (0.890, 0.250, 0.117)
Te (0.899, 0.750, 0.437)
Pd (0.015, 0.750, 0.102)
Pd (0.485, 0.250, 0.602)
Pd (0.515, 0.750, 0.398)
Pd (0.985, 0.250, 0.898)

Peak list (10 most intense, 2θ = 10–80°, sorted by position)
2θ (°), I (rel.)
12.21, 87
24.41, 23
26.97, 69
30.09, 100
33.20, 70
35.20, 35
41.47, 18
41.73, 54
45.30, 33
53.51, 20

***

Starting from the PBE geometry in OQMD, the XRD peak list of Pr2Ho2SiCl5 was calculated for Cu Kα, 1.54184 Å.
Kinematic intensities with the Lorentz-polarization factor, no thermal factor.

Atomic structure:
a b c (Å): 9.087 9.087 8.573
angles (deg): 101.61 101.61 25.46
Atoms (fractional coordinates):
Pr (0.002, 0.002, 0.268)
Pr (0.998, 0.998, 0.732)
Ho (0.347, 0.347, 0.420)
Ho (0.653, 0.653, 0.580)
Si (0.500, 0.500, 0.500)
Cl (0.170, 0.170, 0.799)
Cl (0.179, 0.179, 0.370)
Cl (0.500, 0.500, 0.000)
Cl (0.821, 0.821, 0.630)
Cl (0.830, 0.830, 0.201)

Peak list (10 most intense, 2θ = 10–80°, sorted by position)
2θ (°), I (rel.)
10.20, 22
10.55, 100
16.15, 22
21.03, 19
25.43, 18
27.08, 29
30.56, 97
30.93, 42
43.46, 35
44.61, 28

***

Starting from the PBE geometry in OQMD, the XRD peak list of Cu was calculated for Cu Kα, 1.54184 Å.
Kinematic intensities with the Lorentz-polarization factor, no thermal factor.

Atomic structure:
a b c (Å): 3.986 8.924 2.711
angles (deg): 90.00 90.00 90.00
Atoms (fractional coordinates):
Cu (0.000, 0.133, 0.001)
Cu (0.000, 0.367, 0.501)
Cu (0.000, 0.633, 0.499)
Cu (0.000, 0.867, 0.999)
Cu (0.500, 0.133, 0.499)
Cu (0.500, 0.367, 0.999)
Cu (0.500, 0.633, 0.001)
Cu (0.500, 0.867, 0.501)

Peak list (9 most intense, 2θ = 10–80°, sorted by position)
2θ (°), I (rel.)
19.90, 4
40.43, 58
41.54, 100
45.51, 42
50.13, 1
51.02, 78
62.49, 31
67.03, 12
69.34, 11

***

Starting from the PBE geometry in OQMD, the XRD peak list of Y5Si14Os4 was calculated for Cu Kα, 1.54184 Å.
Kinematic intensities with the Lorentz-polarization factor, no thermal factor.

Atomic structure:
a b c (Å): 12.787 8.048 7.968
angles (deg): 90.00 98.65 90.00
Atoms (fractional coordinates):
Y (0.000, 0.000, 0.000)
Y (0.000, 0.500, 0.500)
Y (0.365, 0.246, 0.343)
Y (0.365, 0.254, 0.843)
Y (0.366, 0.749, 0.338)
Y (0.366, 0.751, 0.838)
Y (0.634, 0.249, 0.162)
Y (0.634, 0.251, 0.662)
Y (0.635, 0.746, 0.157)
Y (0.635, 0.754, 0.657)
Si (0.001, 0.668, 0.166)
Si (0.001, 0.832, 0.666)
Si (0.179, 0.006, 0.763)
Si (0.179, 0.221, 0.550)
Si (0.179, 0.279, 0.050)
Si (0.179, 0.494, 0.263)
Si (0.179, 0.505, 0.823)
Si (0.179, 0.721, 0.038)
Si (0.179, 0.779, 0.538)
Si (0.179, 0.995, 0.323)
Si (0.441, 0.000, 0.108)
Si (0.441, 0.500, 0.608)
Si (0.447, 0.000, 0.613)
Si (0.447, 0.500, 0.113)
Si (0.553, 0.000, 0.387)
Si (0.553, 0.500, 0.887)
Si (0.559, 0.000, 0.892)
Si (0.559, 0.500, 0.392)
Si (0.821, 0.005, 0.677)
Si (0.821, 0.221, 0.462)
Si (0.821, 0.279, 0.962)
Si (0.821, 0.495, 0.177)
Si (0.821, 0.506, 0.737)
Si (0.821, 0.721, 0.950)
Si (0.821, 0.779, 0.450)
Si (0.821, 0.994, 0.237)
Si (0.999, 0.168, 0.334)
Si (0.999, 0.332, 0.834)
Os (0.001, 0.626, 0.871)
Os (0.001, 0.874, 0.371)
Os (0.253, 0.000, 0.061)
Os (0.253, 0.500, 0.561)
Os (0.747, 0.000, 0.939)
Os (0.747, 0.500, 0.439)
Os (0.999, 0.126, 0.629)
Os (0.999, 0.374, 0.129)

Peak list (10 most intense, 2θ = 10–80°, sorted by position)
2θ (°), I (rel.)
19.96, 100
21.08, 71
22.25, 66
33.39, 92
35.34, 66
35.50, 51
35.67, 83
36.14, 75
44.72, 52
65.98, 62